# 1
# Rb3CS3
Simulated X-ray powder pattern, a wavelength of 1.5418 Å. Input: a GGA-PBE-relaxed structure.

Main lines, sorted by position (10° ≤ 2θ ≤ 90°):
| 2theta | intensity |
| --- | --- |
| 18.89 | 31 |
| 24.04 | 66 |
| 27.44 | 100 |
| 38.32 | 29 |
| 40.04 | 33 |
| 46.50 | 29 |

Structure:
a b c (Å): 6.5138 6.5138 6.5138
angles (deg): 87.47 87.47 87.47
Positions (direct):
Rb  0.1724  0.1724  0.6552
Rb  0.1724  0.6552  0.1724
Rb  0.6552  0.1724  0.1724
C  0.5508  0.5508  0.5508
S  0.3242  0.6583  0.6583
S  0.6583  0.3242  0.6583
S  0.6583  0.6583  0.3242

---

# 2
# La2SiRu
Simulated X-ray powder pattern, a wavelength of 1.5418 Å. Input: a GGA-PBE-relaxed structure.

Main lines, sorted by position (10° ≤ 2θ ≤ 90°):
| 2theta | intensity |
| --- | --- |
| 27.52 | 27 |
| 30.82 | 50 |
| 31.08 | 32 |
| 31.43 | 100 |
| 38.60 | 56 |
| 40.71 | 27 |

Structure:
a b c (Å): 3.9235 6.1664 6.1664
angles (deg): 42.13 90.00 90.00
Positions (direct):
La  0.0000  0.0000  0.0000
La  0.5000  0.2744  0.2744
Si  0.5000  0.5863  0.5863
Ru  0.0000  0.7172  0.7172

---

# 3
# TaNbV2
Simulated X-ray powder pattern, a wavelength of 1.5418 Å. Input: a GGA-PBE-relaxed structure.

Main lines, sorted by position (10° ≤ 2θ ≤ 90°):
| 2theta | intensity |
| --- | --- |
| 20.60 | 29 |
| 38.91 | 27 |
| 40.02 | 100 |
| 41.91 | 22 |
| 71.22 | 17 |
| 75.26 | 19 |

Structure:
a b c (Å): 2.8191 4.3114 5.3530
angles (deg): 90.00 99.20 90.00
Positions (direct):
Ta  0.0000  0.0000  0.0000
Nb  0.5000  0.0000  0.5000
V  0.2698  0.5000  0.7515
V  0.7302  0.5000  0.2485

---

# 4
# ReIrRh6
Simulated X-ray powder pattern, a wavelength of 1.5418 Å. Input: a GGA-PBE-relaxed structure.

Main lines, sorted by position (10° ≤ 2θ ≤ 90°):
| 2theta | intensity |
| --- | --- |
| 23.10 | 8 |
| 40.58 | 100 |
| 47.20 | 48 |
| 68.97 | 31 |
| 83.20 | 37 |
| 87.81 | 11 |

Structure:
a b c (Å): 3.8508 3.8508 7.7026
angles (deg): 90.00 90.00 90.00
Positions (direct):
Re  0.0000  0.0000  0.0000
Ir  0.0000  0.0000  0.5000
Rh  0.0000  0.5000  0.2458
Rh  0.0000  0.5000  0.7542
Rh  0.5000  0.0000  0.2458
Rh  0.5000  0.0000  0.7542
Rh  0.5000  0.5000  0.0000
Rh  0.5000  0.5000  0.5000

---

# 5
# LiAc2BPd6
Simulated X-ray powder pattern, a wavelength of 1.5418 Å. Input: a GGA-PBE-relaxed structure.

Main lines, sorted by position (10° ≤ 2θ ≤ 90°):
| 2theta | intensity |
| --- | --- |
| 28.06 | 35 |
| 29.15 | 29 |
| 36.20 | 100 |
| 37.34 | 21 |
| 39.84 | 65 |
| 53.09 | 23 |

Structure:
a b c (Å): 5.9387 5.9387 7.2247
angles (deg): 114.28 114.28 59.89
Positions (direct):
Li  0.0000  0.0000  0.0000
Ac  0.2701  0.2701  0.8115
Ac  0.7299  0.7299  0.1885
B  0.5000  0.5000  0.5000
Pd  0.2201  0.7327  0.6875
Pd  0.2667  0.2667  0.3110
Pd  0.2673  0.7799  0.3125
Pd  0.7327  0.2201  0.6875
Pd  0.7333  0.7333  0.6890
Pd  0.7799  0.2673  0.3125

---

# 6
# Bi4Ru
Simulated X-ray powder pattern, a wavelength of 1.5418 Å. Input: a GGA-PBE-relaxed structure.

Main lines, sorted by position (10° ≤ 2θ ≤ 90°):
| 2theta | intensity |
| --- | --- |
| 28.31 | 36 |
| 31.74 | 42 |
| 33.25 | 100 |
| 34.46 | 62 |
| 54.20 | 19 |
| 67.86 | 23 |

Structure:
a b c (Å): 6.3044 6.3044 6.7638
angles (deg): 90.00 90.00 90.00
Positions (direct):
Bi  0.1540  0.2538  0.3507
Bi  0.2462  0.3460  0.8507
Bi  0.2538  0.8460  0.6493
Bi  0.3460  0.7538  0.1493
Bi  0.6540  0.2462  0.1493
Bi  0.7462  0.1540  0.6493
Bi  0.7538  0.6540  0.8507
Bi  0.8460  0.7462  0.3507
Ru  0.0000  0.0000  0.0000
Ru  0.5000  0.5000  0.5000

---

# 7
# LiFe6Ge6
Simulated X-ray powder pattern, a wavelength of 1.5418 Å. Input: a GGA-PBE-relaxed structure.

Main lines, sorted by position (10° ≤ 2θ ≤ 90°):
| 2theta | intensity |
| --- | --- |
| 35.84 | 41 |
| 41.62 | 30 |
| 42.57 | 56 |
| 47.68 | 100 |
| 50.22 | 33 |
| 81.81 | 20 |

Structure:
a b c (Å): 6.4099 6.4099 6.4099
angles (deg): 133.92 102.75 94.91
Positions (direct):
Li  0.0000  0.0000  0.0000
Fe  0.0000  0.0000  0.5000
Fe  0.0000  0.5000  0.0000
Fe  0.2536  0.5000  0.7536
Fe  0.5000  0.0000  0.0000
Fe  0.5000  0.5000  0.5000
Fe  0.7464  0.5000  0.2464
Ge  0.1609  0.6609  0.5000
Ge  0.3281  0.3281  0.0000
Ge  0.3378  0.0000  0.3378
Ge  0.6622  0.0000  0.6622
Ge  0.6719  0.6719  0.0000
Ge  0.8391  0.3391  0.5000

---

# 8
# GeS5Br
Simulated X-ray powder pattern, a wavelength of 1.5418 Å. Input: a GGA-PBE-relaxed structure.

Main lines, sorted by position (10° ≤ 2θ ≤ 90°):
| 2theta | intensity |
| --- | --- |
| 12.79 | 77 |
| 13.02 | 58 |
| 16.35 | 100 |
| 22.09 | 74 |
| 26.21 | 52 |
| 26.47 | 47 |

Structure:
a b c (Å): 4.8376 6.9493 7.0695
angles (deg): 78.41 87.56 86.87
Positions (direct):
Ge  0.0000  0.0000  0.0000
S  0.9997  0.9716  0.6784
S  0.0683  0.3392  0.9841
S  0.2017  0.2315  0.5704
S  0.7771  0.4864  0.8152
S  0.9122  0.4476  0.5158
Br  0.4926  0.8912  0.1256